# 1
Theoretical X-ray powder pattern
Compound: La3HoAg4
Radiation: Cu Kα X-rays
Structure: a crystal structure in Alexandria, relaxed with PBE
Neutral-atom scattering factors, no anomalous dispersion.

Atomic structure:
```
La3HoAg4
1.0
3.7389 0.0000 0.0000
0.0000 3.7389 0.0000
0.0000 0.0000 15.3470
La Ho Ag
3 1 4
direct
0.0000 0.0000 0.0000
0.0000 0.0000 0.2567
0.0000 0.0000 0.7433
0.0000 0.0000 0.5000
0.5000 0.5000 0.1279
0.5000 0.5000 0.3917
0.5000 0.5000 0.6083
0.5000 0.5000 0.8721
```

Principal peaks in the range 2θ = 15–90°, sorted by position:
2θ 33.46, d = 2.678 Å, intensity 100.0
2θ 33.91, d = 2.644 Å, intensity 50.6
2θ 48.71, d = 1.869 Å, intensity 17.9
2θ 59.54, d = 1.553 Å, intensity 16.1
2θ 60.39, d = 1.533 Å, intensity 35.5
2θ 70.31, d = 1.339 Å, intensity 9.7

# 2
Theoretical X-ray powder pattern
Compound: SrAc12Pm3
Radiation: Cu Kα X-rays
Structure: a crystal structure in Alexandria, relaxed with PBE
Neutral-atom scattering factors, no anomalous dispersion.

Atomic structure:
```
SrAc12Pm3
1.0
5.5746 0.0000 0.0000
0.0000 5.5746 0.0000
0.0000 0.0000 22.2681
Sr Ac Pm
1 12 3
direct
0.0000 0.0000 0.0000
0.0000 0.5000 0.1320
0.0000 0.5000 0.3769
0.0000 0.5000 0.6231
0.0000 0.5000 0.8680
0.5000 0.0000 0.1320
0.5000 0.0000 0.3769
0.5000 0.0000 0.6231
0.5000 0.0000 0.8680
0.5000 0.5000 0.0000
0.5000 0.5000 0.2536
0.5000 0.5000 0.5000
0.5000 0.5000 0.7464
0.0000 0.0000 0.2528
0.0000 0.0000 0.5000
0.0000 0.0000 0.7472
```

Principal peaks in the range 2θ = 15–90°, sorted by position:
2θ 27.73, d = 3.217 Å, intensity 100.0
2θ 32.13, d = 2.786 Å, intensity 51.4
2θ 46.07, d = 1.970 Å, intensity 38.0
2θ 54.63, d = 1.680 Å, intensity 46.0
2θ 74.18, d = 1.278 Å, intensity 18.3
2θ 76.45, d = 1.246 Å, intensity 16.9